Theoretical X-ray diffraction stick pattern of Na5LiMn2P2C2O14 for Cu Kα (weighted mean of Kα1 and Kα2), from DFT lattice parameters and positions (PBE+U).
Lines closer than 0.1° are merged.

a = 8.983 Å, b = 6.767 Å, c = 10.367 Å
α = 90.00°, β = 90.07°, γ = 90.00°
Sites, in units of the cell vectors:
Na  0.083  0.000  0.119
Na  0.083  0.003  0.621
Na  0.258  0.752  0.876
Na  0.259  0.249  0.377
Na  0.259  0.752  0.376
Na  0.741  0.252  0.624
Na  0.741  0.749  0.623
Na  0.742  0.252  0.124
Na  0.917  0.500  0.881
Na  0.917  0.503  0.379
Li  0.269  0.241  0.880
Li  0.731  0.741  0.120
Mn  0.361  0.498  0.110
Mn  0.362  0.500  0.612
Mn  0.638  0.000  0.388
Mn  0.639  0.998  0.890
P  0.410  0.003  0.651
P  0.414  0.996  0.148
P  0.586  0.496  0.852
P  0.590  0.503  0.349
C  0.056  0.505  0.131
C  0.061  0.499  0.633
C  0.939  0.999  0.367
C  0.944  0.005  0.869
O  0.083  0.000  0.356
O  0.088  0.018  0.859
O  0.120  0.498  0.019
O  0.122  0.501  0.520
O  0.140  0.498  0.234
O  0.145  0.496  0.736
O  0.318  0.185  0.605
O  0.319  0.813  0.107
O  0.319  0.817  0.611
O  0.326  0.181  0.101
O  0.424  0.012  0.801
O  0.426  0.486  0.908
O  0.427  0.002  0.298
O  0.432  0.501  0.409
O  0.568  0.001  0.591
O  0.573  0.502  0.702
O  0.574  0.986  0.092
O  0.576  0.512  0.199
O  0.674  0.681  0.899
O  0.681  0.313  0.893
O  0.681  0.317  0.389
O  0.682  0.685  0.395
O  0.855  0.996  0.264
O  0.860  0.998  0.766
O  0.878  0.001  0.480
O  0.880  0.998  0.981
O  0.912  0.518  0.141
O  0.917  0.500  0.644

Top 10 peaks for 2θ from 15° to 90°, in order of rising 2θ:
2θ 19.77, intensity 45; 2θ 26.25, intensity 32; 2θ 26.34, intensity 88; 2θ 33.15, intensity 100; 2θ 34.60, intensity 86; 2θ 42.42, intensity 34; 2θ 48.67, intensity 55; 2θ 54.22, intensity 25; 2θ 57.95, intensity 21; 2θ 65.93, intensity 19


Theoretical X-ray diffraction stick pattern of Na5LiMn2P2C2O14 for Cu Kα (weighted mean of Kα1 and Kα2), from DFT lattice parameters and positions (PBE+U).
Lines closer than 0.1° are merged.

a = 6.817 Å, b = 8.966 Å, c = 10.332 Å
α = 90.22°, β = 90.11°, γ = 90.30°
Sites, in units of the cell vectors:
Na  0.000  0.000  0.000
Na  0.000  0.000  0.498
Na  0.003  0.516  0.251
Na  0.003  0.518  0.752
Na  0.254  0.342  0.494
Na  0.254  0.342  0.997
Na  0.500  0.518  0.752
Na  0.503  0.000  0.000
Na  0.504  0.000  0.498
Na  0.752  0.175  0.755
Li  0.492  0.525  0.255
Li  0.748  0.176  0.253
Mn  0.251  0.898  0.263
Mn  0.252  0.896  0.765
Mn  0.749  0.619  0.484
Mn  0.751  0.619  0.988
P  0.251  0.669  0.522
P  0.255  0.668  0.026
P  0.748  0.850  0.226
P  0.752  0.847  0.727
C  0.252  0.198  0.743
C  0.258  0.202  0.244
C  0.750  0.318  0.013
C  0.751  0.314  0.503
O  0.066  0.577  0.482
O  0.069  0.577  0.987
O  0.251  0.119  0.140
O  0.251  0.343  0.732
O  0.252  0.114  0.640
O  0.252  0.136  0.857
O  0.252  0.139  0.356
O  0.252  0.827  0.462
O  0.252  0.827  0.967
O  0.255  0.686  0.672
O  0.264  0.683  0.177
O  0.269  0.347  0.234
O  0.433  0.577  0.477
O  0.435  0.577  0.980
O  0.569  0.939  0.768
O  0.570  0.948  0.266
O  0.738  0.690  0.285
O  0.747  0.405  0.114
O  0.750  0.367  0.386
O  0.750  0.404  0.603
O  0.750  0.831  0.075
O  0.751  0.376  0.898
O  0.751  0.829  0.576
O  0.752  0.689  0.788
O  0.753  0.171  0.521
O  0.753  0.174  0.029
O  0.933  0.940  0.268
O  0.935  0.940  0.768

Top 10 peaks for 2θ from 15° to 90°, in order of rising 2θ:
2θ 19.83, intensity 48; 2θ 26.15, intensity 100; 2θ 26.27, intensity 30; 2θ 32.98, intensity 92; 2θ 33.11, intensity 46; 2θ 34.73, intensity 79; 2θ 42.46, intensity 30; 2θ 48.51, intensity 29; 2θ 48.76, intensity 30; 2θ 53.79, intensity 34


Theoretical X-ray diffraction stick pattern of Na5LiMn2P2C2O14 for Cu Kα (weighted mean of Kα1 and Kα2), from DFT lattice parameters and positions (PBE+U).
Lines closer than 0.1° are merged.

a = 5.160 Å, b = 8.961 Å, c = 13.625 Å
α = 90.24°, β = 90.12°, γ = 90.20°
Sites, in units of the cell vectors:
Na  0.000  0.000  0.000
Na  0.000  0.000  0.248
Na  0.000  0.000  0.500
Na  0.000  0.000  0.748
Na  0.008  0.657  0.372
Na  0.488  0.824  0.125
Na  0.488  0.825  0.624
Na  0.495  0.483  0.497
Na  0.495  0.483  0.750
Na  0.495  0.483  0.999
Li  0.004  0.656  0.874
Li  0.488  0.475  0.253
Mn  0.025  0.381  0.624
Mn  0.026  0.382  0.125
Mn  0.470  0.103  0.374
Mn  0.470  0.103  0.874
P  0.546  0.152  0.624
P  0.547  0.155  0.125
P  0.950  0.335  0.874
P  0.951  0.332  0.373
C  0.511  0.798  0.371
C  0.513  0.796  0.874
C  0.983  0.681  0.125
C  0.983  0.682  0.624
O  0.029  0.423  0.466
O  0.031  0.429  0.784
O  0.033  0.429  0.965
O  0.048  0.423  0.283
O  0.066  0.172  0.374
O  0.072  0.176  0.874
O  0.210  0.619  0.125
O  0.210  0.619  0.624
O  0.277  0.849  0.874
O  0.285  0.862  0.374
O  0.425  0.311  0.624
O  0.431  0.315  0.130
O  0.459  0.065  0.033
O  0.462  0.060  0.716
O  0.463  0.060  0.532
O  0.464  0.060  0.216
O  0.531  0.654  0.367
O  0.554  0.654  0.874
O  0.647  0.319  0.368
O  0.649  0.314  0.874
O  0.710  0.888  0.874
O  0.718  0.882  0.374
O  0.776  0.596  0.127
O  0.777  0.598  0.623
O  0.847  0.169  0.624
O  0.849  0.170  0.124
O  0.961  0.825  0.124
O  0.962  0.826  0.624

Top 10 peaks for 2θ from 15° to 90°, in order of rising 2θ:
2θ 19.85, intensity 47; 2θ 26.16, intensity 100; 2θ 26.33, intensity 45; 2θ 33.01, intensity 92; 2θ 33.12, intensity 45; 2θ 34.65, intensity 26; 2θ 34.77, intensity 79; 2θ 42.50, intensity 25; 2θ 48.55, intensity 25; 2θ 53.83, intensity 33


Theoretical X-ray diffraction stick pattern of NaLi2MnPCO7 for Cu Kα (weighted mean of Kα1 and Kα2), from DFT lattice parameters and positions (PBE+U).
Lines closer than 0.1° are merged.

a = 6.719 Å, b = 8.666 Å, c = 10.130 Å
α = 91.45°, β = 90.04°, γ = 90.19°
Sites, in units of the cell vectors:
Na  0.000  0.000  0.000
Na  0.001  0.499  0.751
Na  0.498  0.502  0.254
Na  0.739  0.666  0.003
Li  0.024  0.015  0.509
Li  0.243  0.839  0.256
Li  0.273  0.841  0.751
Li  0.471  0.025  0.015
Li  0.474  0.015  0.509
Li  0.527  0.475  0.737
Li  0.754  0.672  0.497
Li  0.971  0.477  0.243
Mn  0.245  0.390  0.015
Mn  0.253  0.397  0.512
Mn  0.743  0.104  0.241
Mn  0.750  0.102  0.732
P  0.242  0.156  0.275
P  0.260  0.157  0.767
P  0.737  0.334  0.979
P  0.756  0.343  0.477
C  0.249  0.713  0.492
C  0.261  0.707  0.990
C  0.740  0.792  0.754
C  0.759  0.801  0.269
O  0.061  0.055  0.233
O  0.069  0.069  0.721
O  0.229  0.324  0.223
O  0.243  0.599  0.899
O  0.246  0.858  0.462
O  0.247  0.671  0.614
O  0.253  0.610  0.397
O  0.255  0.169  0.429
O  0.256  0.671  0.114
O  0.268  0.168  0.921
O  0.271  0.325  0.716
O  0.282  0.849  0.954
O  0.426  0.066  0.220
O  0.433  0.054  0.713
O  0.558  0.432  0.030
O  0.572  0.441  0.522
O  0.717  0.646  0.775
O  0.731  0.167  0.031
O  0.733  0.325  0.825
O  0.740  0.895  0.371
O  0.750  0.175  0.528
O  0.751  0.843  0.635
O  0.754  0.857  0.152
O  0.754  0.890  0.854
O  0.763  0.331  0.323
O  0.782  0.654  0.288
O  0.927  0.423  0.027
O  0.939  0.437  0.527

Top 10 peaks for 2θ from 15° to 90°, in order of rising 2θ:
2θ 20.09, intensity 31; 2θ 20.54, intensity 31; 2θ 26.53, intensity 100; 2θ 26.74, intensity 33; 2θ 33.50, intensity 20; 2θ 33.72, intensity 22; 2θ 33.82, intensity 20; 2θ 35.44, intensity 52; 2θ 41.68, intensity 25; 2θ 54.64, intensity 23


Theoretical X-ray diffraction stick pattern of Na2Li4Mn2C4SO16 for Cu Kα (weighted mean of Kα1 and Kα2), from DFT lattice parameters and positions (PBE+U).
Lines closer than 0.1° are merged.

a = 9.905 Å, b = 9.727 Å, c = 9.723 Å
α = 61.23°, β = 59.40°, γ = 59.37°
Sites, in units of the cell vectors:
Na  0.095  0.655  0.095
Na  0.345  0.905  0.345
Na  0.655  0.095  0.655
Na  0.905  0.345  0.905
Li  0.024  0.823  0.490
Li  0.162  0.490  0.823
Li  0.177  0.976  0.838
Li  0.490  0.162  0.024
Li  0.510  0.838  0.976
Li  0.823  0.024  0.162
Li  0.838  0.510  0.177
Li  0.976  0.177  0.510
Mn  0.000  0.500  0.500
Mn  0.500  0.000  0.500
Mn  0.500  0.500  0.000
Mn  0.500  0.500  0.500
C  0.273  0.280  0.672
C  0.274  0.672  0.280
C  0.280  0.273  0.274
C  0.328  0.726  0.727
C  0.672  0.274  0.273
C  0.720  0.727  0.726
C  0.726  0.328  0.720
C  0.727  0.720  0.328
S  0.125  0.125  0.125
S  0.875  0.875  0.875
O  0.061  0.313  0.064
O  0.062  0.064  0.313
O  0.064  0.062  0.061
O  0.130  0.404  0.686
O  0.139  0.664  0.300
O  0.141  0.289  0.400
O  0.280  0.686  0.404
O  0.289  0.141  0.671
O  0.300  0.397  0.139
O  0.313  0.061  0.062
O  0.314  0.720  0.870
O  0.329  0.600  0.711
O  0.336  0.861  0.603
O  0.397  0.300  0.664
O  0.400  0.671  0.141
O  0.404  0.130  0.280
O  0.596  0.870  0.720
O  0.600  0.329  0.859
O  0.603  0.700  0.336
O  0.664  0.139  0.397
O  0.671  0.400  0.289
O  0.686  0.280  0.130
O  0.687  0.939  0.938
O  0.700  0.603  0.861
O  0.711  0.859  0.329
O  0.720  0.314  0.596
O  0.859  0.711  0.600
O  0.861  0.336  0.700
O  0.870  0.596  0.314
O  0.936  0.938  0.939
O  0.938  0.936  0.687
O  0.939  0.687  0.936

Top 10 peaks for 2θ from 15° to 90°, in order of rising 2θ:
2θ 18.25, intensity 38; 2θ 21.11, intensity 100; 2θ 21.70, intensity 70; 2θ 25.44, intensity 44; 2θ 33.29, intensity 72; 2θ 34.44, intensity 25; 2θ 37.00, intensity 50; 2θ 39.09, intensity 35; 2θ 57.73, intensity 26; 2θ 58.49, intensity 33


Theoretical X-ray diffraction stick pattern of Li12Mn3NiP4C4O28 for Cu Kα (weighted mean of Kα1 and Kα2), from DFT lattice parameters and positions (PBE+U).
Lines closer than 0.1° are merged.

a = 8.515 Å, b = 6.582 Å, c = 9.991 Å
α = 90.00°, β = 94.49°, γ = 90.00°
Sites, in units of the cell vectors:
Li  0.000  0.000  0.000
Li  0.000  0.000  0.500
Li  0.180  0.225  0.258
Li  0.180  0.225  0.756
Li  0.180  0.775  0.258
Li  0.180  0.775  0.756
Li  0.632  0.276  0.504
Li  0.632  0.724  0.504
Li  0.634  0.276  0.003
Li  0.634  0.724  0.003
Li  0.811  0.500  0.762
Li  0.814  0.500  0.261
Mn  0.246  0.500  0.992
Mn  0.566  0.000  0.269
Mn  0.566  0.000  0.769
Ni  0.240  0.500  0.484
P  0.316  0.000  0.020
P  0.316  0.000  0.520
P  0.493  0.500  0.739
P  0.497  0.500  0.244
C  0.874  0.000  0.232
C  0.874  0.000  0.732
C  0.939  0.500  0.029
C  0.946  0.500  0.529
O  0.020  0.000  0.202
O  0.020  0.000  0.702
O  0.051  0.500  0.126
O  0.060  0.500  0.623
O  0.216  0.184  0.966
O  0.216  0.816  0.966
O  0.218  0.186  0.467
O  0.218  0.814  0.467
O  0.326  0.500  0.789
O  0.327  0.500  0.292
O  0.329  0.000  0.177
O  0.329  0.000  0.678
O  0.473  0.500  0.581
O  0.481  0.500  0.087
O  0.486  0.000  0.975
O  0.487  0.000  0.476
O  0.596  0.317  0.792
O  0.596  0.683  0.792
O  0.598  0.316  0.297
O  0.598  0.684  0.297
O  0.762  0.000  0.134
O  0.762  0.000  0.634
O  0.793  0.500  0.058
O  0.800  0.500  0.559
O  0.836  0.000  0.855
O  0.837  0.000  0.355
O  0.976  0.500  0.906
O  0.984  0.500  0.406

Top 10 peaks for 2θ from 15° to 90°, in order of rising 2θ:
2θ 19.95, intensity 35; 2θ 21.38, intensity 44; 2θ 25.35, intensity 19; 2θ 26.50, intensity 33; 2θ 27.10, intensity 100; 2θ 36.07, intensity 19; 2θ 36.81, intensity 25; 2θ 40.27, intensity 21; 2θ 42.58, intensity 20; 2θ 55.87, intensity 19